No. 1
The following is a simulated X-ray diffraction stick pattern of AsHIrOsAu. It was derived from a cell relaxed with GGA-PBE, using Cu Kα X-rays.
Neutral-atom scattering factors, no anomalous dispersion.

Structural model:
```
data_AsHIrOsAu
_space_group_name_H-M_alt 'P 1 m 1'
_space_group_IT_number 6
_cell_length_a 4.6976
_cell_length_b 2.9626
_cell_length_c 5.1088
_cell_angle_alpha 90.00
_cell_angle_beta 104.55
_cell_angle_gamma 90.00
loop_
_space_group_symop_operation_xyz
'x,y,z'
'x,-y,z'
loop_
_atom_site_label
_atom_site_type_symbol
_atom_site_fract_x
_atom_site_fract_y
_atom_site_fract_z
As1 As 0.0000 0.0000 0.0000
H1 H 0.5155 0.5000 0.0412
Ir1 Ir 0.4521 0.0000 0.8113
Os1 Os 0.3301 0.5000 0.3217
Au1 Au 0.8598 0.0000 0.4745
```

Peak list (8 most intense, 2θ = 5–70°, by angle)
2θ 35.32, 2.541 Å, intensity 63; 2θ 36.19, 2.482 Å, intensity 49; 2θ 36.76, 2.445 Å, intensity 76; 2θ 38.28, 2.351 Å, intensity 73; 2θ 39.24, 2.296 Å, intensity 56; 2θ 39.64, 2.274 Å, intensity 52; 2θ 42.95, 2.106 Å, intensity 100; 2θ 48.26, 1.886 Å, intensity 47

No. 2
The following is a simulated X-ray diffraction stick pattern of In3Hg2I8. It was derived from a cell relaxed with GGA-PBE, using Cu Kα X-rays.
Neutral-atom scattering factors, no anomalous dispersion.

Structural model:
```
data_In3Hg2I8
_space_group_name_H-M_alt 'C m c e'
_space_group_IT_number 64
_space_group_name_Hall '-C 2ac 2'
_cell_length_a 9.7377
_cell_length_b 18.3869
_cell_length_c 13.1261
_cell_angle_alpha 90.00
_cell_angle_beta 90.00
_cell_angle_gamma 90.00
loop_
_atom_site_label
_atom_site_type_symbol
_atom_site_fract_x
_atom_site_fract_y
_atom_site_fract_z
In1 In 0.0000 0.0000 0.0000
In2 In 0.2500 0.1341 0.2500
Hg1 Hg 0.0000 0.1256 0.6072
I1 I 0.0000 0.0059 0.2657
I2 I 0.0000 0.2467 0.7519
I3 I 0.2492 0.1325 0.0005
```

Peak list (8 most intense, 2θ = 5–70°, by angle)
2θ 21.74, 4.089 Å, intensity 34; 2θ 22.50, 3.951 Å, intensity 24; 2θ 22.76, 3.906 Å, intensity 35; 2θ 23.63, 3.765 Å, intensity 33; 2θ 26.67, 3.342 Å, intensity 41; 2θ 36.92, 2.434 Å, intensity 30; 2θ 38.44, 2.342 Å, intensity 100; 2θ 39.20, 2.298 Å, intensity 23